Entry 1:
This entry pairs a crystal structure of Rb2Ag2GeS4 with its theoretical powder diffractogram. Radiation: Cu Kα (λ = 1.5418 Å). Structure: a structure optimized by DFT (PBE).
Intensities are scaled so that the largest is 100.

Crystal structure
Cell lengths 11.928, 11.928, 6.439 Å; angles 98.25, 98.25, 142.37 degrees
Sites, in units of the cell vectors:
Rb: 0.062 0.938 0.750
Rb: 0.193 0.807 0.250
Rb: 0.807 0.193 0.750
Rb: 0.938 0.062 0.250
Ag: 0.323 0.677 0.750
Ag: 0.465 0.535 0.750
Ag: 0.535 0.465 0.250
Ag: 0.677 0.323 0.250
Ge: 0.379 0.621 0.250
Ge: 0.621 0.379 0.750
S: 0.126 0.483 0.340
S: 0.234 0.363 0.950
S: 0.363 0.234 0.450
S: 0.483 0.126 0.840
S: 0.517 0.874 0.160
S: 0.637 0.766 0.550
S: 0.766 0.637 0.050
S: 0.874 0.517 0.660

The 6 most intense peaks (2θ = 15–90°), in order of falling intensity:
2θ/deg	intensity
28.34	100
31.65	58
25.86	54
31.01	51
30.31	51
31.32	38


Entry 2:
This entry pairs a crystal structure of Ag7GeS6 with its theoretical powder diffractogram. Radiation: Cu Kα (λ = 1.5418 Å). Structure: a structure optimized by DFT (PBE).
Intensities are scaled so that the largest is 100.

Crystal structure
Cell lengths 10.371, 10.371, 10.371 Å; angles 144.02, 97.80, 93.16 degrees
Sites, in units of the cell vectors:
Ag: 0.030 0.225 0.256
Ag: 0.118 0.457 0.783
Ag: 0.174 0.957 0.339
Ag: 0.250 0.250 0.000
Ag: 0.326 0.665 0.783
Ag: 0.382 0.165 0.339
Ag: 0.470 0.725 0.195
Ag: 0.530 0.275 0.805
Ag: 0.618 0.835 0.661
Ag: 0.674 0.335 0.217
Ag: 0.750 0.750 0.000
Ag: 0.826 0.043 0.661
Ag: 0.882 0.543 0.217
Ag: 0.970 0.775 0.744
Ge: 0.250 0.750 0.500
Ge: 0.750 0.250 0.500
S: 0.065 0.873 0.610
S: 0.153 0.855 0.008
S: 0.237 0.627 0.192
S: 0.263 0.455 0.390
S: 0.347 0.355 0.702
S: 0.435 0.045 0.808
S: 0.565 0.955 0.192
S: 0.653 0.645 0.298
S: 0.737 0.545 0.610
S: 0.763 0.373 0.808
S: 0.847 0.145 0.992
S: 0.935 0.127 0.390

The 6 most intense peaks (2θ = 15–90°), in order of falling intensity:
2θ/deg	intensity
28.25	100
33.36	50
26.14	34
30.36	32
47.65	26
46.53	25


Entry 3:
This entry pairs a crystal structure of AgGeS3 with its theoretical powder diffractogram. Radiation: Cu Kα (λ = 1.5418 Å). Structure: a structure optimized by DFT (PBE).
Intensities are scaled so that the largest is 100.

Crystal structure
Cell lengths 6.280, 6.280, 6.055 Å; angles 90.00, 90.00, 120.00 degrees
Sites, in units of the cell vectors:
Ag: 0.333 0.667 0.250
Ag: 0.667 0.333 0.750
Ge: 0.000 0.000 0.250
Ge: 0.000 0.000 0.750
S: 0.000 0.301 0.500
S: 0.000 0.699 0.000
S: 0.301 0.000 0.500
S: 0.301 0.301 0.000
S: 0.699 0.000 0.000
S: 0.699 0.699 0.500

The 6 most intense peaks (2θ = 15–90°), in order of falling intensity:
2θ/deg	intensity
41.43	100
21.97	93
28.43	50
50.34	37
46.67	26
32.11	26